This entry pairs a crystal structure of Sc12MoC7 with its simulated powder diffractogram. Radiation: Cu Kα, 1.54184 Å. Structure: a structure optimized by DFT (PBE).

Peak list (10 most intense, 2θ from 15° to 90°, by angle)
2θ (°)  intensity
28.19  2
33.40  100
36.78  2
38.75  78
44.59  2
45.62  2
55.96  46
66.76  34
70.15  14
83.14  6

Structure:
```
Sc12MoC7
1.0
5.9263 3.4216 2.6811
-5.9263 3.4216 2.6811
0.0000 -6.8431 2.6811
Sc Mo C
12 1 7
Direct
0.0553 0.3429 0.1268
0.1268 0.0553 0.3429
0.1876 0.7141 0.5701
0.2859 0.4299 0.8124
0.3429 0.1268 0.0553
0.4299 0.8124 0.2859
0.5701 0.1876 0.7141
0.6571 0.8732 0.9447
0.7141 0.5701 0.1876
0.8124 0.2859 0.4299
0.8732 0.9447 0.6571
0.9447 0.6571 0.8732
0.5000 0.5000 0.5000
0.0000 0.0000 0.0000
0.1592 0.3865 0.4667
0.3865 0.4667 0.1592
0.4667 0.1592 0.3865
0.5333 0.8408 0.6135
0.6135 0.5333 0.8408
0.8408 0.6135 0.5333
```

This entry pairs a crystal structure of Ce2ScAs3 with its simulated powder diffractogram. Radiation: Cu Kα, 1.54184 Å. Structure: a structure optimized by DFT (PBE).

Peak list (10 most intense, 2θ from 15° to 90°, by angle)
2θ (°)  intensity
30.58  100
30.94  48
43.79  37
44.06  71
54.58  38
63.66  12
72.27  16
72.46  16
73.05  15
80.66  24

Structure:
```
Ce2ScAs3
1.0
-2.0671 2.0671 8.6698
2.0671 -2.0671 8.6698
2.0671 2.0671 -8.6698
Ce Sc As
2 1 3
Direct
0.1656 0.1656 0.0000
0.8344 0.8344 0.0000
0.5000 0.5000 0.0000
0.0000 0.0000 0.0000
0.3390 0.3390 0.0000
0.6610 0.6610 0.0000
```

This entry pairs a crystal structure of Pa2PO2 with its simulated powder diffractogram. Radiation: Cu Kα, 1.54184 Å. Structure: a structure optimized by DFT (PBE).

Peak list (10 most intense, 2θ from 15° to 90°, by angle)
2θ (°)  intensity
26.29  92
29.79  55
30.17  100
31.41  26
36.89  19
38.14  24
41.69  17
48.37  29
49.15  56
55.38  25

Structure:
```
Pa2PO2
1.0
0.0000 4.7196 4.8728
3.8044 0.0000 4.8728
3.8044 4.7196 0.0000
Pa P O
4 2 4
Direct
0.0939 0.0939 0.6561
0.3439 0.3439 0.9061
0.6561 0.6561 0.0939
0.9061 0.9061 0.3439
0.3750 0.3750 0.3750
0.6250 0.6250 0.6250
0.0076 0.7424 0.0076
0.2576 0.9924 0.2576
0.7424 0.0076 0.7424
0.9924 0.2576 0.9924
```

This entry pairs a crystal structure of Sr2Ga5Ru with its simulated powder diffractogram. Radiation: Cu Kα, 1.54184 Å. Structure: a structure optimized by DFT (PBE).

Peak list (10 most intense, 2θ from 15° to 90°, by angle)
2θ (°)  intensity
16.87  43
26.83  27
34.04  19
34.17  100
40.20  23
42.20  52
55.29  18
59.71  16
61.00  17
72.02  14

Structure:
```
Sr2Ga5Ru
1.0
-3.0273 3.0273 5.2677
3.0273 -3.0273 5.2677
3.0273 3.0273 -5.2677
Sr Ga Ru
2 5 1
Direct
0.0000 0.5000 0.5000
0.5000 0.0000 0.5000
0.0146 0.0146 0.5451
0.0146 0.4695 0.0000
0.4224 0.4224 0.0000
0.4695 0.0146 0.0000
0.4695 0.4695 0.4549
0.6621 0.6621 0.0000
```

This entry pairs a crystal structure of Zr6GeSb3 with its simulated powder diffractogram. Radiation: Cu Kα, 1.54184 Å. Structure: a structure optimized by DFT (PBE).

Peak list (10 most intense, 2θ from 15° to 90°, by angle)
2θ (°)  intensity
28.81  57
30.61  54
33.33  91
33.84  85
34.91  73
37.46  45
38.29  100
38.50  47
40.79  57
46.42  69

Structure:
```
Zr6GeSb3
1.0
6.7424 0.0000 0.0000
0.0000 7.5248 0.0000
-6.7227 0.0000 9.3527
Zr Ge Sb
12 2 6
Direct
0.0392 0.0402 0.2410
0.0392 0.4598 0.7410
0.1926 0.6751 0.0601
0.1926 0.8249 0.5601
0.4114 0.1538 0.0572
0.4114 0.3462 0.5572
0.5886 0.6538 0.4428
0.5886 0.8462 0.9428
0.8074 0.1751 0.4399
0.8074 0.3249 0.9399
0.9608 0.5402 0.2590
0.9608 0.9598 0.7590
0.0000 0.0000 0.0000
0.0000 0.5000 0.5000
0.3169 0.1449 0.7445
0.3169 0.3551 0.2445
0.5000 0.0000 0.5000
0.5000 0.5000 0.0000
0.6831 0.6449 0.7555
0.6831 0.8551 0.2555
```

Number 2 is which compound? Ce2ScAs3